Theoretical powder XRD pattern of Mg14AlCu for Cu Kα (weighted mean of Kα1 and Kα2), from a crystal structure in the Materials Project, relaxed with GGA-PBE.
No peak broadening, texture or thermal motion is included.

Most intense lines, 15 to 90 degrees two-theta, by angle:
33.23 deg, I = 25; 35.14 deg, I = 26; 37.72 deg, I = 100; 49.13 deg, I = 15; 59.42 deg, I = 11; 64.75 deg, I = 17; 70.94 deg, I = 12; 72.45 deg, I = 9

Structure:
```
Mg14AlCu
1.0
10.2164 0.0000 0.0000
0.0000 3.1187 5.3840
0.0000 -3.1187 5.3840
Mg Al Cu
14 1 1
Direct
0.0000 0.9996 0.9996
0.0000 0.0005 0.5014
0.0000 0.5000 0.5000
0.0000 0.5014 0.0005
0.2534 0.1648 0.1648
0.2588 0.6633 0.6633
0.2662 0.1726 0.6691
0.2662 0.6691 0.1726
0.5000 0.4975 0.9975
0.5000 0.9975 0.4975
0.7338 0.1726 0.6691
0.7338 0.6691 0.1726
0.7412 0.6633 0.6633
0.7466 0.1648 0.1648
0.5000 0.0038 0.0038
0.5000 0.5029 0.5029
```

***

Theoretical powder XRD pattern of Mg2AlV3S8 for Cu Kα (weighted mean of Kα1 and Kα2), from a crystal structure in the Materials Project, relaxed with GGA-PBE.
No peak broadening, texture or thermal motion is included.

Most intense lines, 15 to 90 degrees two-theta, by angle:
15.04 deg, I = 34; 28.92 deg, I = 25; 29.08 deg, I = 27; 35.00 deg, I = 100; 45.69 deg, I = 14; 46.02 deg, I = 21; 49.93 deg, I = 51; 50.75 deg, I = 48

Structure:
```
Mg2AlV3S8
1.0
6.2292 -3.5993 0.0000
6.2292 3.5993 0.0000
-4.1493 0.0000 6.0122
Mg Al V S
2 1 3 8
Direct
0.1247 0.1247 0.3741
0.8753 0.8753 0.6259
0.5000 0.5000 0.5000
0.0000 0.5000 0.0000
0.5000 0.0000 0.0000
0.5000 0.5000 0.0000
0.2613 0.2613 0.7839
0.2640 0.2640 0.2425
0.2642 0.7146 0.2426
0.2854 0.7358 0.7574
0.7146 0.2642 0.2426
0.7358 0.2854 0.7574
0.7360 0.7360 0.7575
0.7387 0.7387 0.2161
```

***

Theoretical powder XRD pattern of NaSrMg6 for Cu Kα (weighted mean of Kα1 and Kα2), from a crystal structure in the Materials Project, relaxed with GGA-PBE.
No peak broadening, texture or thermal motion is included.

Most intense lines, 15 to 90 degrees two-theta, by angle:
22.20 deg, I = 37; 30.07 deg, I = 28; 33.14 deg, I = 37; 34.25 deg, I = 51; 34.43 deg, I = 100; 53.12 deg, I = 24; 60.03 deg, I = 19; 64.07 deg, I = 20

Structure:
```
NaSrMg6
1.0
5.4069 0.0000 0.0000
0.0000 3.4242 5.9839
0.0000 -3.4242 5.9839
Na Sr Mg
1 1 6
Direct
0.0000 0.0000 0.0000
0.5000 0.8265 0.8265
0.0000 0.0002 0.4796
0.0000 0.4796 0.0002
0.0000 0.4928 0.4928
0.5000 0.3237 0.3237
0.5000 0.3299 0.8303
0.5000 0.8303 0.3299
```